This entry pairs a crystal structure of ScCdCu3Se4 with its calculated powder X-ray diffraction pattern. Radiation: Cu Kα X-rays. Structure: DFT lattice parameters and positions (GGA-PBE).

Top 11 peaks for 5 to 70 degrees two-theta, low angle first:
d 4.188, I = 11.8, (1 1 0)
d 3.420, I = 100.0, (1 1 1)
d 2.962, I = 0.7, (2 0 0)
d 2.418, I = 5.7, (2 1 1)
d 2.094, I = 98.5, (2 2 0)
d 1.873, I = 2.3, (3 1 0)
d 1.786, I = 45.0, (3 1 1)
d 1.583, I = 3.0, (3 2 1)
d 1.481, I = 15.3, (4 0 0)
d 1.396, I = 1.7, (4 1 1)
d 1.359, I = 17.5, (3 3 1)

Crystal structure
```
ScCdCu3Se4
1.0
5.923 0.000 0.000
0.000 5.923 0.000
0.000 0.000 5.923
Sc Cd Cu Se
1 1 3 4
direct
0.000 0.000 0.000
0.500 0.500 0.500
0.000 0.000 0.500
0.000 0.500 0.000
0.500 0.000 0.000
0.243 0.243 0.243
0.243 0.757 0.757
0.757 0.243 0.757
0.757 0.757 0.243
```

=====

This entry pairs a crystal structure of CdCu2Se2 with its calculated powder X-ray diffraction pattern. Radiation: Cu Kα X-rays. Structure: DFT lattice parameters and positions (GGA-PBE).

Top 11 peaks for 5 to 70 degrees two-theta, low angle first:
d 3.478, I = 2.4, (1 0 0)
d 3.110, I = 100.0, (1 0 1)
d 2.458, I = 66.4, (1 0 2)
d 2.317, I = 3.7, (0 0 3)
d 2.008, I = 71.1, (1 1 0)
d 1.928, I = 55.8, (0 1 3)
d 1.738, I = 2.9, (0 0 4)
d 1.687, I = 15.9, (0 2 1)
d 1.555, I = 19.2, (0 2 2)
d 1.517, I = 5.5, (1 1 3)
d 1.391, I = 21.3, (2 0 3)

Crystal structure
```
CdCu2Se2
1.0
4.016 0.000 0.000
-2.008 3.478 0.000
0.000 0.000 6.950
Cd Cu Se
1 2 2
direct
0.000 0.000 0.000
0.333 0.667 0.405
0.667 0.333 0.595
0.333 0.667 0.755
0.667 0.333 0.245
```